No. 1
LaGe4Pt2: calculated X-ray powder pattern (a wavelength of 1.5418 Å), based on a crystal structure in Alexandria, relaxed with PBE.
Kinematic intensities with the Lorentz-polarization factor, no thermal factor.

Atomic structure:
Lattice parameters (Å, degrees): 17.716 4.394 6.928 90.00 90.00 90.00
Space group Pnma (No. 62)
Symmetry-distinct sites (fractional):
La1 0.142 0.250 0.017
Ge1 0.037 0.750 0.859
Ge2 0.063 0.250 0.469
Ge3 0.178 0.750 0.326
Ge4 0.194 0.750 0.734
Pt1 0.027 0.750 0.240
Pt2 0.209 0.250 0.536

Most intense lines, 10 to 90 degrees two-theta, sorted by position:
27.7°, intensity 28
34.5°, intensity 100
35.0°, intensity 58
37.8°, intensity 34
41.1°, intensity 59
45.3°, intensity 37
45.5°, intensity 38
50.2°, intensity 18
57.1°, intensity 21
66.8°, intensity 18


No. 2
La2Ge3Pt5: calculated X-ray powder pattern (a wavelength of 1.5418 Å), based on a crystal structure in Alexandria, relaxed with PBE.
Kinematic intensities with the Lorentz-polarization factor, no thermal factor.

Atomic structure:
Lattice parameters (Å, degrees): 4.223 4.223 11.363 90.00 90.00 90.00
Space group P-4m2 (No. 115)
Symmetry-distinct sites (fractional):
La1 0.000 0.500 0.221
Ge1 0.000 0.500 0.631
Ge2 0.500 0.500 0.500
Pt1 0.000 0.000 0.000
Pt2 0.000 0.000 0.500
Pt3 0.000 0.500 0.842
Pt4 0.500 0.500 0.000

Most intense lines, 10 to 90 degrees two-theta, sorted by position:
31.7°, intensity 17
33.9°, intensity 100
38.4°, intensity 17
42.8°, intensity 49
44.0°, intensity 31
45.3°, intensity 18
62.2°, intensity 16
64.1°, intensity 13
72.7°, intensity 22
79.3°, intensity 12